1.
This entry pairs a crystal structure of LiCrP4O12 with its computed X-ray powder pattern. Radiation: λ = 1.5418 Å (Cu Kα). Structure: a cell relaxed with PBE+U.

Atomic structure:
```
data_LiCrP4O12
_cell_length_a 11.7736
_cell_length_b 8.2694
_cell_length_c 10.0193
_cell_angle_alpha 90.00
_cell_angle_beta 119.17
_cell_angle_gamma 90.00
_space_group_name_H-M_alt 'C 1 2/c 1'
_space_group_IT_number 15
_space_group_name_Hall '-C 2yc'
loop_
_atom_site_label
_atom_site_type_symbol
_atom_site_fract_x
_atom_site_fract_y
_atom_site_fract_z
Li1 Li 0.2500 0.2500 0.0000
Cr1 Cr 0.0000 0.0534 0.7500
P1 P 0.0113 0.2570 0.4780
P2 P 0.2029 0.4876 0.6980
O1 O 0.0352 0.1146 0.4042
O2 O 0.0389 0.2295 0.9103
O3 O 0.0840 0.3792 0.1522
O4 O 0.1452 0.3560 0.5596
O5 O 0.1926 0.0724 0.8168
O6 O 0.2306 0.4201 0.8476
```

Top 12 peaks for 15° ≤ 2θ ≤ 90°, by angle:
d = 5.140 Å, 17.25 deg, I = 25, (2 0 0)
d = 4.625 Å, 19.19 deg, I = 44, (2 0 -2)
d = 4.277 Å, 20.77 deg, I = 63, (1 1 -2)
d = 3.390 Å, 26.29 deg, I = 32, (3 1 -2)
d = 3.222 Å, 27.69 deg, I = 47, (2 2 0)
d = 3.166 Å, 28.19 deg, I = 46, (3 1 0)
d = 3.005 Å, 29.73 deg, I = 100, (0 2 2)
d = 2.889 Å, 30.95 deg, I = 14, (3 1 -3)
d = 2.570 Å, 34.91 deg, I = 24, (4 0 0)
d = 2.386 Å, 37.70 deg, I = 26, (4 2 -2)
d = 2.103 Å, 43.01 deg, I = 17, (1 3 -3)
d = 1.806 Å, 50.55 deg, I = 14, (1 3 -4)

2.
This entry pairs a crystal structure of LiCrPO4 with its computed X-ray powder pattern. Radiation: λ = 1.5418 Å (Cu Kα). Structure: a cell relaxed with PBE+U.

Atomic structure:
```
data_LiCrPO4
_cell_length_a 10.2608
_cell_length_b 6.3524
_cell_length_c 4.7650
_cell_angle_alpha 90.00
_cell_angle_beta 90.00
_cell_angle_gamma 90.00
_space_group_name_H-M_alt 'P n m a'
_space_group_IT_number 62
_space_group_name_Hall '-P 2ac 2n'
loop_
_atom_site_label
_atom_site_type_symbol
_atom_site_fract_x
_atom_site_fract_y
_atom_site_fract_z
Li1 Li 0.0000 0.0000 0.0000
Cr1 Cr 0.2155 0.2500 0.4498
P1 P 0.0936 0.7500 0.4175
O1 O 0.0495 0.2500 0.6959
O2 O 0.0993 0.7500 0.7434
O3 O 0.1612 0.5533 0.2865
```

Top 12 peaks for 15° ≤ 2θ ≤ 90°, by angle:
d = 5.130 Å, 17.28 deg, I = 28, (2 0 0)
d = 4.322 Å, 20.55 deg, I = 82, (1 0 1)
d = 3.991 Å, 22.27 deg, I = 24, (2 1 0)
d = 3.573 Å, 24.92 deg, I = 75, (1 1 1)
d = 3.176 Å, 28.09 deg, I = 90, (0 2 0)
d = 3.060 Å, 29.19 deg, I = 24, (2 1 1)
d = 2.779 Å, 32.22 deg, I = 34, (3 0 1)
d = 2.559 Å, 35.06 deg, I = 43, (1 2 1)
d = 2.546 Å, 35.26 deg, I = 100, (3 1 1)
d = 2.321 Å, 38.80 deg, I = 27, (1 0 2)
d = 1.787 Å, 51.13 deg, I = 31, (2 2 2)
d = 1.684 Å, 54.50 deg, I = 43, (3 3 1)

3.
This entry pairs a crystal structure of LiCrP4O12 with its computed X-ray powder pattern. Radiation: λ = 1.5418 Å (Cu Kα). Structure: a cell relaxed with PBE+U.

Atomic structure:
```
data_LiCrP4O12
_cell_length_a 11.9495
_cell_length_b 8.3731
_cell_length_c 9.8595
_cell_angle_alpha 90.00
_cell_angle_beta 117.49
_cell_angle_gamma 90.00
_space_group_name_H-M_alt 'C 1 2/c 1'
_space_group_IT_number 15
_space_group_name_Hall '-C 2yc'
loop_
_atom_site_label
_atom_site_type_symbol
_atom_site_fract_x
_atom_site_fract_y
_atom_site_fract_z
Li1 Li 0.0000 0.0387 0.2500
Cr1 Cr 0.2500 0.2500 0.5000
P1 P 0.0045 0.2641 0.9714
P2 P 0.1893 0.4932 0.1958
O1 O 0.0299 0.1194 0.9066
O2 O 0.0628 0.2562 0.4289
O3 O 0.0715 0.3944 0.6635
O4 O 0.1367 0.3562 0.0683
O5 O 0.2142 0.0871 0.3320
O6 O 0.2353 0.4240 0.3520
```

Top 12 peaks for 15° ≤ 2θ ≤ 90°, by angle:
d = 4.653 Å, 19.07 deg, I = 42, (1 1 1)
d = 4.562 Å, 19.46 deg, I = 38, (2 0 -2)
d = 4.373 Å, 20.31 deg, I = 16, (0 0 2)
d = 3.591 Å, 24.80 deg, I = 40, (3 1 -1)
d = 3.285 Å, 27.14 deg, I = 28, (2 2 0)
d = 3.255 Å, 27.40 deg, I = 18, (3 1 0)
d = 3.238 Å, 27.55 deg, I = 16, (1 1 2)
d = 3.024 Å, 29.54 deg, I = 100, (0 2 2)
d = 2.858 Å, 31.29 deg, I = 23, (3 1 -3)
d = 2.650 Å, 33.82 deg, I = 20, (4 0 0)
d = 2.410 Å, 37.32 deg, I = 18, (4 2 -2)
d = 2.108 Å, 42.90 deg, I = 16, (1 3 -3)

4.
This entry pairs a crystal structure of Li5CrP4O14 with its computed X-ray powder pattern. Radiation: λ = 1.5418 Å (Cu Kα). Structure: a cell relaxed with PBE+U.

Atomic structure:
```
data_Li5CrP4O14
_cell_length_a 6.9892
_cell_length_b 8.7739
_cell_length_c 9.2402
_cell_angle_alpha 81.17
_cell_angle_beta 79.10
_cell_angle_gamma 69.58
_space_group_name_H-M_alt 'P -1'
_space_group_IT_number 2
_space_group_name_Hall '-P 1'
loop_
_atom_site_label
_atom_site_type_symbol
_atom_site_fract_x
_atom_site_fract_y
_atom_site_fract_z
Li1 Li 0.0526 0.0205 0.1428
Li2 Li 0.2477 0.2209 0.9098
Li3 Li 0.2557 0.7550 0.5693
Li4 Li 0.3188 0.6722 0.2632
Li5 Li 0.4265 0.0024 0.3372
Cr1 Cr 0.1305 0.3574 0.2543
P1 P 0.1343 0.1210 0.5698
P2 P 0.1812 0.5957 0.9656
P3 P 0.2927 0.4001 0.5519
P4 P 0.4020 0.8386 0.9485
O1 O 0.0039 0.2745 0.1070
O2 O 0.0741 0.8708 0.3411
O3 O 0.1278 0.1640 0.4007
O4 O 0.1371 0.5798 0.1374
O5 O 0.1562 0.5544 0.6270
O6 O 0.1976 0.2584 0.6309
O7 O 0.2153 0.9883 0.9126
O8 O 0.2543 0.4363 0.9028
O9 O 0.2751 0.4249 0.3854
O10 O 0.3112 0.9601 0.5878
O11 O 0.3625 0.6745 0.9213
O12 O 0.3990 0.1759 0.1638
O13 O 0.4271 0.8336 0.1095
O14 O 0.4857 0.6624 0.4197
```

Top 12 peaks for 15° ≤ 2θ ≤ 90°, by angle:
d = 4.516 Å, 19.66 deg, I = 30, (0 0 2)
d = 4.053 Å, 21.93 deg, I = 65, (1 2 1)
d = 3.897 Å, 22.82 deg, I = 100, (-1 1 1)
d = 3.804 Å, 23.38 deg, I = 20, (0 1 -2)
d = 3.082 Å, 28.97 deg, I = 28, (2 2 0)
d = 2.897 Å, 30.86 deg, I = 55, (1 0 3)
d = 2.882 Å, 31.04 deg, I = 49, (1 3 1)
d = 2.840 Å, 31.51 deg, I = 48, (2 2 2)
d = 2.721 Å, 32.92 deg, I = 28, (2 -1 0)
d = 2.619 Å, 34.24 deg, I = 31, (1 3 -1)
d = 2.589 Å, 34.64 deg, I = 24, (1 0 -3)
d = 2.327 Å, 38.70 deg, I = 26, (2 2 -2)

5.
This entry pairs a crystal structure of LiCrP4O12 with its computed X-ray powder pattern. Radiation: λ = 1.5418 Å (Cu Kα). Structure: a cell relaxed with PBE+U.

Atomic structure:
```
data_LiCrP4O12
_cell_length_a 6.8694
_cell_length_b 8.6847
_cell_length_c 7.2990
_cell_angle_alpha 90.00
_cell_angle_beta 96.15
_cell_angle_gamma 90.00
_space_group_name_H-M_alt 'P 1 21 1'
_space_group_IT_number 4
_space_group_name_Hall 'P 2yb'
loop_
_atom_site_label
_atom_site_type_symbol
_atom_site_fract_x
_atom_site_fract_y
_atom_site_fract_z
Li1 Li 0.1734 0.0000 0.3065
Cr1 Cr 0.2583 0.6334 0.7596
P1 P 0.0623 0.0969 0.9426
P2 P 0.0913 0.4319 0.3979
P3 P 0.4205 0.2854 0.9111
P4 P 0.4807 0.5692 0.4107
O1 O 0.0046 0.2787 0.3427
O2 O 0.0104 0.0670 0.7253
O3 O 0.0847 0.4803 0.5983
O4 O 0.1291 0.6401 0.9884
O5 O 0.1788 0.9760 0.0470
O6 O 0.1914 0.2504 0.9209
O7 O 0.3154 0.4378 0.3505
O8 O 0.3303 0.9952 0.5274
O9 O 0.3898 0.6778 0.5390
O10 O 0.4230 0.4438 0.8267
O11 O 0.4693 0.7624 0.9021
O12 O 0.4977 0.6607 0.2224
```

Top 12 peaks for 15° ≤ 2θ ≤ 90°, by angle:
d = 5.369 Å, 16.51 deg, I = 46, (1 1 0)
d = 4.727 Å, 18.77 deg, I = 25, (1 0 1)
d = 4.501 Å, 19.72 deg, I = 18, (1 1 -1)
d = 4.342 Å, 20.45 deg, I = 38, (0 2 0)
d = 4.152 Å, 21.40 deg, I = 17, (1 1 1)
d = 3.726 Å, 23.88 deg, I = 42, (0 2 1)
d = 3.349 Å, 26.61 deg, I = 75, (0 1 2)
d = 3.198 Å, 27.90 deg, I = 100, (1 2 1)
d = 3.131 Å, 28.51 deg, I = 43, (1 1 -2)
d = 3.024 Å, 29.54 deg, I = 52, (2 1 -1)
d = 2.810 Å, 31.85 deg, I = 23, (2 1 1)
d = 2.074 Å, 43.65 deg, I = 36, (2 3 1)